For VIn3O7, a GGA+U-relaxed structure gives the simulated XRD peak list in this record (Cu Kα).
Kinematic intensities with the Lorentz-polarization factor, no thermal factor.

Main lines, sorted by position (2θ from 5° to 70°):
2θ 29.4, I = 100.0; 2θ 30.6, I = 88.5; 2θ 34.5, I = 22.1; 2θ 34.9, I = 32.0; 2θ 49.9, I = 53.0; 2θ 60.7, I = 23.6

```
data_VIn3O7
_cell_length_a 10.390
_cell_length_b 7.499
_cell_length_c 7.063
_cell_angle_alpha 90.00
_cell_angle_beta 90.00
_cell_angle_gamma 90.00
_symmetry_space_group_name_H-M 'C m c m'
_symmetry_Int_Tables_number 63
_symmetry_space_group_name_Hall '-C 2c 2'
loop_
_atom_site_label
_atom_site_fract_x
_atom_site_fract_y
_atom_site_fract_z
_atom_site_occupancy
V1 0.000 0.018 0.250 1
In1 0.000 0.443 0.750 1
In2 0.250 0.250 0.000 1
O1 0.000 0.000 0.000 1
O2 0.126 0.196 0.750 1
O3 0.134 0.173 0.250 1
O4 0.135 0.500 0.000 1
```